Theoretical X-ray diffraction stick pattern of Sr5Ti7O19 for Cu Kα, from DFT lattice parameters and positions (PBE).
No peak broadening, texture or thermal motion is included.

Peak list (6 most intense, 2θ from 10° to 90°, low angle first)
2θ (°)  I/Imax
31.9  24
32.7  100
46.4  35
47.5  18
58.5  16
68.6  19

a b c (Å): 3.8285 5.6122 21.8405
angles (deg): 90.00 90.00 90.00
Sites, in units of the cell vectors:
Sr (0.0000, 0.0000, 0.0000)
Sr (0.0000, 0.0000, 0.2533)
Sr (0.0000, 0.0000, 0.7467)
Sr (0.0000, 0.5000, 0.1296)
Sr (0.0000, 0.5000, 0.8704)
Ti (0.5000, 0.0000, 0.1282)
Ti (0.5000, 0.0000, 0.3754)
Ti (0.5000, 0.0000, 0.6246)
Ti (0.5000, 0.0000, 0.8718)
Ti (0.5000, 0.5000, 0.0000)
Ti (0.5000, 0.5000, 0.2587)
Ti (0.5000, 0.5000, 0.7413)
O (0.0000, 0.0000, 0.1283)
O (0.0000, 0.0000, 0.3983)
O (0.0000, 0.0000, 0.6017)
O (0.0000, 0.0000, 0.8717)
O (0.0000, 0.5000, 0.0000)
O (0.0000, 0.5000, 0.2533)
O (0.0000, 0.5000, 0.7467)
O (0.5000, 0.2368, 0.3199)
O (0.5000, 0.2368, 0.6801)
O (0.5000, 0.2492, 0.1931)
O (0.5000, 0.2492, 0.8069)
O (0.5000, 0.2498, 0.0643)
O (0.5000, 0.2498, 0.9357)
O (0.5000, 0.7502, 0.0643)
O (0.5000, 0.7502, 0.9357)
O (0.5000, 0.7508, 0.1931)
O (0.5000, 0.7508, 0.8069)
O (0.5000, 0.7632, 0.3199)
O (0.5000, 0.7632, 0.6801)

---

Theoretical X-ray diffraction stick pattern of Ac3Pm3DyTe8 for Cu Kα, from DFT lattice parameters and positions (PBE).
No peak broadening, texture or thermal motion is included.

Peak list (6 most intense, 2θ from 10° to 90°, low angle first)
2θ (°)  I/Imax
27.6  100
39.0  39
39.8  38
49.1  21
63.9  18
64.9  18

a b c (Å): 9.2294 9.2294 9.2294
angles (deg): 58.84 58.84 58.84
Sites, in units of the cell vectors:
Ac (0.0000, 0.5000, 0.5000)
Ac (0.5000, 0.0000, 0.5000)
Ac (0.5000, 0.5000, 0.0000)
Pm (0.0000, 0.0000, 0.5000)
Pm (0.0000, 0.5000, 0.0000)
Pm (0.5000, 0.0000, 0.0000)
Dy (0.5000, 0.5000, 0.5000)
Te (0.2444, 0.2444, 0.2444)
Te (0.2444, 0.7448, 0.7448)
Te (0.2552, 0.2552, 0.7556)
Te (0.2552, 0.7556, 0.2552)
Te (0.7448, 0.2444, 0.7448)
Te (0.7448, 0.7448, 0.2444)
Te (0.7556, 0.2552, 0.2552)
Te (0.7556, 0.7556, 0.7556)

---

Theoretical X-ray diffraction stick pattern of Cs2SiH4N2 for Cu Kα, from DFT lattice parameters and positions (PBE).
No peak broadening, texture or thermal motion is included.

Peak list (6 most intense, 2θ from 10° to 90°, low angle first)
2θ (°)  I/Imax
15.6  100
21.5  69
22.2  66
25.5  78
27.4  84
31.0  69

a b c (Å): 5.0837 6.4243 6.5748
angles (deg): 117.14 97.22 93.07
Sites, in units of the cell vectors:
Cs (0.2224, 0.3843, 0.2287)
Cs (0.7776, 0.6157, 0.7713)
Si (0.0000, 0.0000, 0.5000)
H (0.1772, 0.8756, 0.6252)
H (0.3666, 0.2254, 0.7412)
H (0.6334, 0.7746, 0.2588)
H (0.8228, 0.1244, 0.3748)
N (0.2102, 0.2622, 0.6515)
N (0.7898, 0.7378, 0.3485)

---

Theoretical X-ray diffraction stick pattern of PrDyCd2 for Cu Kα, from DFT lattice parameters and positions (PBE).
No peak broadening, texture or thermal motion is included.

Peak list (6 most intense, 2θ from 10° to 90°, low angle first)
2θ (°)  I/Imax
33.2  100
47.7  18
59.3  37
69.7  11
79.4  16
88.8  4

a b c (Å): 7.6332 7.6332 7.6332
angles (deg): 90.00 90.00 90.00
Sites, in units of the cell vectors:
Pr (0.0000, 0.0000, 0.0000)
Pr (0.0000, 0.5000, 0.5000)
Pr (0.5000, 0.0000, 0.5000)
Pr (0.5000, 0.5000, 0.0000)
Dy (0.0000, 0.0000, 0.5000)
Dy (0.0000, 0.5000, 0.0000)
Dy (0.5000, 0.0000, 0.0000)
Dy (0.5000, 0.5000, 0.5000)
Cd (0.2500, 0.2500, 0.2500)
Cd (0.2500, 0.2500, 0.7500)
Cd (0.2500, 0.7500, 0.2500)
Cd (0.2500, 0.7500, 0.7500)
Cd (0.7500, 0.2500, 0.2500)
Cd (0.7500, 0.2500, 0.7500)
Cd (0.7500, 0.7500, 0.2500)
Cd (0.7500, 0.7500, 0.7500)

---

Theoretical X-ray diffraction stick pattern of NdTm5Tl for Cu Kα, from DFT lattice parameters and positions (PBE).
No peak broadening, texture or thermal motion is included.

Peak list (6 most intense, 2θ from 10° to 90°, low angle first)
2θ (°)  I/Imax
28.2  26
32.1  32
32.3  72
32.5  33
33.1  100
39.9  31

a b c (Å): 6.2031 6.4595 11.0156
angles (deg): 90.00 90.00 90.00
Sites, in units of the cell vectors:
Nd (0.0000, 0.0000, 0.0000)
Nd (0.5000, 0.5000, 0.5000)
Tm (0.0000, 0.2398, 0.6098)
Tm (0.0000, 0.5000, 0.3539)
Tm (0.0000, 0.7602, 0.6098)
Tm (0.2456, 0.0000, 0.3373)
Tm (0.2544, 0.5000, 0.8373)
Tm (0.5000, 0.0000, 0.8539)
Tm (0.5000, 0.2602, 0.1098)
Tm (0.5000, 0.7398, 0.1098)
Tm (0.7456, 0.5000, 0.8373)
Tm (0.7544, 0.0000, 0.3373)
Tl (0.0000, 0.5000, 0.0851)
Tl (0.5000, 0.0000, 0.5851)

---

Theoretical X-ray diffraction stick pattern of KCaSm for Cu Kα, from DFT lattice parameters and positions (PBE).
No peak broadening, texture or thermal motion is included.

Peak list (6 most intense, 2θ from 10° to 90°, low angle first)
2θ (°)  I/Imax
12.7  26
25.6  19
27.1  34
30.1  100
32.2  28
48.0  20

a b c (Å): 20.8505 3.7899 6.5813
angles (deg): 90.00 90.00 90.00
Sites, in units of the cell vectors:
K (0.1812, 0.0000, 0.0000)
K (0.1812, 0.5000, 0.5000)
K (0.8188, 0.0000, 0.0000)
K (0.8188, 0.5000, 0.5000)
Ca (0.0000, 0.0000, 0.3259)
Ca (0.0000, 0.5000, 0.8259)
Ca (0.5000, 0.0000, 0.9959)
Ca (0.5000, 0.5000, 0.4959)
Sm (0.3555, 0.0000, 0.3283)
Sm (0.3555, 0.5000, 0.8283)
Sm (0.6445, 0.0000, 0.3283)
Sm (0.6445, 0.5000, 0.8283)

---

Theoretical X-ray diffraction stick pattern of Sb2P3O12 for Cu Kα, from DFT lattice parameters and positions (PBE).
No peak broadening, texture or thermal motion is included.

Peak list (6 most intense, 2θ from 10° to 90°, low angle first)
2θ (°)  I/Imax
14.3  52
19.5  100
20.9  68
23.9  44
28.8  55
31.3  69

a b c (Å): 9.1421 9.1421 9.1421
angles (deg): 55.27 55.27 55.27
Sites, in units of the cell vectors:
Sb (0.1424, 0.1424, 0.1424)
Sb (0.3463, 0.3463, 0.3463)
Sb (0.6537, 0.6537, 0.6537)
Sb (0.8576, 0.8576, 0.8576)
P (0.0455, 0.7439, 0.4562)
P (0.2561, 0.5438, 0.9545)
P (0.4562, 0.0455, 0.7439)
P (0.5438, 0.9545, 0.2561)
P (0.7439, 0.4562, 0.0455)
P (0.9545, 0.2561, 0.5438)
O (0.0340, 0.7797, 0.6076)
O (0.1242, 0.7476, 0.8730)
O (0.1270, 0.8758, 0.2524)
O (0.1568, 0.2172, 0.5191)
O (0.1773, 0.5304, 0.4803)
O (0.2172, 0.5191, 0.1568)
O (0.2203, 0.3924, 0.9660)
O (0.2524, 0.1270, 0.8758)
O (0.3924, 0.9660, 0.2203)
O (0.4696, 0.5197, 0.8227)
O (0.4803, 0.1773, 0.5304)
O (0.4809, 0.8432, 0.7828)
O (0.5191, 0.1568, 0.2172)
O (0.5197, 0.8227, 0.4696)
O (0.5304, 0.4803, 0.1773)
O (0.6076, 0.0340, 0.7797)
O (0.7476, 0.8730, 0.1242)
O (0.7797, 0.6076, 0.0340)
O (0.7828, 0.4809, 0.8432)
O (0.8227, 0.4696, 0.5197)
O (0.8432, 0.7828, 0.4809)
O (0.8730, 0.1242, 0.7476)
O (0.8758, 0.2524, 0.1270)
O (0.9660, 0.2203, 0.3924)

---

Theoretical X-ray diffraction stick pattern of KSnPd2Pb2 for Cu Kα, from DFT lattice parameters and positions (PBE).
No peak broadening, texture or thermal motion is included.

Peak list (6 most intense, 2θ from 10° to 90°, low angle first)
2θ (°)  I/Imax
12.8  68
17.5  36
31.3  100
35.3  70
36.0  45
47.9  62

a b c (Å): 5.0815 5.0815 6.9157
angles (deg): 90.00 90.00 90.00
Sites, in units of the cell vectors:
K (0.0000, 0.0000, 0.0000)
Sn (0.0000, 0.0000, 0.5000)
Pd (0.0000, 0.5000, 0.5000)
Pd (0.5000, 0.0000, 0.5000)
Pb (0.5000, 0.5000, 0.2612)
Pb (0.5000, 0.5000, 0.7388)

---

Theoretical X-ray diffraction stick pattern of Na3Tl5In for Cu Kα, from DFT lattice parameters and positions (PBE).
No peak broadening, texture or thermal motion is included.

Peak list (6 most intense, 2θ from 10° to 90°, low angle first)
2θ (°)  I/Imax
19.2  29
23.2  29
28.2  63
29.8  41
33.1  100
46.4  27

a b c (Å): 9.2759 9.2759 9.2759
angles (deg): 122.30 122.30 86.06
Sites, in units of the cell vectors:
Na (0.1116, 0.6116, 0.7232)
Na (0.2500, 0.2500, 0.0000)
Na (0.3884, 0.1116, 0.5000)
Na (0.6116, 0.8884, 0.5000)
Na (0.7500, 0.7500, 0.0000)
Na (0.8884, 0.3884, 0.2768)
Tl (0.0000, 0.0000, 0.0000)
Tl (0.0683, 0.1603, 0.5000)
Tl (0.1603, 0.6603, 0.0920)
Tl (0.3397, 0.4317, 0.5000)
Tl (0.4317, 0.9317, 0.0920)
Tl (0.5000, 0.5000, 0.0000)
Tl (0.5683, 0.0683, 0.9080)
Tl (0.6603, 0.5683, 0.5000)
Tl (0.8397, 0.3397, 0.9080)
Tl (0.9317, 0.8397, 0.5000)
In (0.2500, 0.7500, 0.5000)
In (0.7500, 0.2500, 0.5000)

---

Theoretical X-ray diffraction stick pattern of Ac6Pr4Tm for Cu Kα, from DFT lattice parameters and positions (PBE).
No peak broadening, texture or thermal motion is included.

Peak list (6 most intense, 2θ from 10° to 90°, low angle first)
2θ (°)  I/Imax
26.3  30
27.4  79
28.1  55
28.5  100
32.3  61
36.4  65

a b c (Å): 10.9391 10.9391 10.9391
angles (deg): 144.24 141.50 53.56
Sites, in units of the cell vectors:
Ac (0.0000, 0.0000, 0.0000)
Ac (0.0094, 0.4335, 0.1145)
Ac (0.3190, 0.8949, 0.8855)
Ac (0.5000, 0.5000, 0.0000)
Ac (0.6810, 0.5665, 0.5759)
Ac (0.9906, 0.1051, 0.4241)
Pr (0.2051, 0.6200, 0.1278)
Pr (0.4922, 0.0773, 0.8722)
Pr (0.5078, 0.3800, 0.5852)
Pr (0.7949, 0.9227, 0.4148)
Tm (0.5000, 0.0000, 0.5000)

---

Theoretical X-ray diffraction stick pattern of Pb13Br6O10 for Cu Kα, from DFT lattice parameters and positions (PBE).
No peak broadening, texture or thermal motion is included.

Peak list (6 most intense, 2θ from 10° to 90°, low angle first)
2θ (°)  I/Imax
28.0  64
28.8  48
29.3  50
29.6  51
30.1  100
31.1  63

a b c (Å): 9.1677 9.1677 24.6976
angles (deg): 97.80 97.80 48.02
Sites, in units of the cell vectors:
Pb (0.0103, 0.1516, 0.6310)
Pb (0.0634, 0.2116, 0.4201)
Pb (0.1051, 0.6842, 0.2059)
Pb (0.1516, 0.0103, 0.1310)
Pb (0.1600, 0.3739, 0.0615)
Pb (0.1872, 0.7173, 0.9885)
Pb (0.2116, 0.0634, 0.9201)
Pb (0.2162, 0.7838, 0.7500)
Pb (0.2503, 0.3980, 0.8514)
Pb (0.2827, 0.8128, 0.5115)
Pb (0.3158, 0.8949, 0.2941)
Pb (0.3739, 0.1600, 0.5615)
Pb (0.3980, 0.2503, 0.3514)
Pb (0.6020, 0.7497, 0.6486)
Pb (0.6261, 0.8400, 0.4385)
Pb (0.6842, 0.1051, 0.7059)
Pb (0.7173, 0.1872, 0.4885)
Pb (0.7497, 0.6020, 0.1486)
Pb (0.7838, 0.2162, 0.2500)
Pb (0.7884, 0.9366, 0.0799)
Pb (0.8128, 0.2827, 0.0115)
Pb (0.8400, 0.6261, 0.9385)
Pb (0.8484, 0.9897, 0.8690)
Pb (0.8949, 0.3158, 0.7941)
Pb (0.9366, 0.7884, 0.5799)
Pb (0.9897, 0.8484, 0.3690)
Br (0.0208, 0.3504, 0.2488)
Br (0.1816, 0.4975, 0.4585)
Br (0.3504, 0.0208, 0.7488)
Br (0.4421, 0.4974, 0.1360)
Br (0.4974, 0.4421, 0.6360)
Br (0.4975, 0.1816, 0.9585)
Br (0.5025, 0.8184, 0.0415)
Br (0.5026, 0.5579, 0.3640)
Br (0.5579, 0.5026, 0.8640)
Br (0.6496, 0.9792, 0.2512)
Br (0.8184, 0.5025, 0.5415)
Br (0.9792, 0.6496, 0.7512)
O (0.0029, 0.0188, 0.9425)
O (0.0169, 0.3277, 0.9822)
O (0.0180, 0.0280, 0.3173)
O (0.0188, 0.0029, 0.4425)
O (0.0280, 0.0180, 0.8173)
O (0.0440, 0.6736, 0.9028)
O (0.0492, 0.3418, 0.8669)
O (0.3264, 0.9560, 0.5972)
O (0.3277, 0.0169, 0.4822)
O (0.3418, 0.0492, 0.3669)
O (0.6582, 0.9508, 0.6331)
O (0.6723, 0.9831, 0.5178)
O (0.6736, 0.0440, 0.4028)
O (0.9508, 0.6582, 0.1331)
O (0.9560, 0.3264, 0.0972)
O (0.9720, 0.9820, 0.1827)
O (0.9812, 0.9971, 0.5575)
O (0.9820, 0.9720, 0.6827)
O (0.9831, 0.6723, 0.0178)
O (0.9971, 0.9812, 0.0575)

---

Repeat the tenth record exactly.
Theoretical X-ray diffraction stick pattern of Ac6Pr4Tm for Cu Kα, from DFT lattice parameters and positions (PBE).
No peak broadening, texture or thermal motion is included.

Peak list (6 most intense, 2θ from 10° to 90°, low angle first)
2θ (°)  I/Imax
26.3  30
27.4  79
28.1  55
28.5  100
32.3  61
36.4  65

a b c (Å): 10.9391 10.9391 10.9391
angles (deg): 144.24 141.50 53.56
Sites, in units of the cell vectors:
Ac (0.0000, 0.0000, 0.0000)
Ac (0.0094, 0.4335, 0.1145)
Ac (0.3190, 0.8949, 0.8855)
Ac (0.5000, 0.5000, 0.0000)
Ac (0.6810, 0.5665, 0.5759)
Ac (0.9906, 0.1051, 0.4241)
Pr (0.2051, 0.6200, 0.1278)
Pr (0.4922, 0.0773, 0.8722)
Pr (0.5078, 0.3800, 0.5852)
Pr (0.7949, 0.9227, 0.4148)
Tm (0.5000, 0.0000, 0.5000)